The following is a theoretical XRD peak list of RePt2C. It was derived from a crystal structure in Alexandria, relaxed with GGA-PBE, using Cu Ka.
Kinematic intensities with the Lorentz-polarization factor, no thermal factor.

Most intense lines, 10° ≤ 2θ ≤ 90°, sorted by position:
2theta	I_rel	hkl
35.2	100	2 1 1
38.2	36	2 2 0
41.4	61	1 1 2
42.9	11	3 1 0
44.8	33	3 0 1
52.9	14	3 2 1
57.6	19	3 1 2
73.7	20	4 3 1
77.9	17	3 2 3
83.9	17	2 0 4

Structure:
```
data_RePt2C
_symmetry_space_group_name_H-M 'I -4 2 d'
_symmetry_Int_Tables_number 122
_symmetry_space_group_name_Hall 'I -4 2bw'
_cell_length_a 6.663
_cell_length_b 6.663
_cell_length_c 4.919
_cell_angle_alpha 90.00
_cell_angle_beta 90.00
_cell_angle_gamma 90.00
loop_
_atom_site_label
_atom_site_fract_x
_atom_site_fract_y
_atom_site_fract_z
_atom_site_occupancy
Re1 0.000 0.000 0.000 1
Pt1 0.164 0.250 0.625 1
C1 0.000 0.000 0.500 1
```